Computed XRD peak list of CeZnAu for Cu Kα (λ = 1.5418 Å), from a structure optimized by DFT (PBE).

Cell and atoms:
```
CeZnAu
1.0
6.9881 0.0000 0.0000
0.0000 4.6529 0.0000
0.0000 0.0000 8.0404
Ce Zn Au
4 4 4
Direct
0.0053 0.2500 0.2252
0.4947 0.7500 0.7252
0.5053 0.2500 0.2748
0.9947 0.7500 0.7748
0.2058 0.2500 0.5824
0.2942 0.7500 0.0824
0.7058 0.2500 0.9176
0.7942 0.7500 0.4176
0.2271 0.7500 0.4140
0.2729 0.2500 0.9140
0.7271 0.7500 0.0860
0.7729 0.2500 0.5860
```

Peak list (10 most intense, 2θ = 10–90°, low angle first)
2θ (°)	I_rel
25.5	42.2
34.0	100.0
38.7	81.8
45.0	9.0
47.0	14.2
52.4	26.3
52.5	8.7
67.0	31.4
67.1	14.4
70.1	9.2

***

Computed XRD peak list of CeZnAu2 for Cu Kα (λ = 1.5418 Å), from a structure optimized by DFT (PBE).

Cell and atoms:
```
CeZnAu2
1.0
0.0000 3.4898 3.4898
3.4898 0.0000 3.4898
3.4898 3.4898 0.0000
Ce Zn Au
1 1 2
Direct
0.0000 0.0000 0.0000
0.5000 0.5000 0.5000
0.2500 0.2500 0.2500
0.7500 0.7500 0.7500
```

Peak list (10 most intense, 2θ = 10–90°, low angle first)
2θ (°)	I_rel
22.1	3.0
25.5	11.2
36.4	100.0
45.0	3.6
52.4	17.7
59.2	4.9
65.5	36.1
77.3	11.3
83.0	2.6
88.6	16.8

***

Computed XRD peak list of AuCl for Cu Kα (λ = 1.5418 Å), from a structure optimized by DFT (PBE).

Cell and atoms:
```
AuCl
1.0
4.3959 0.0000 0.0000
0.0000 4.3959 0.0000
0.0000 0.0000 12.1964
Au Cl
4 4
Direct
0.0000 0.0000 0.0000
0.0000 0.5000 0.5000
0.5000 0.0000 0.5000
0.5000 0.5000 0.0000
0.2500 0.2500 0.1446
0.2500 0.2500 0.6446
0.7500 0.7500 0.3554
0.7500 0.7500 0.8554
```

Peak list (10 most intense, 2θ = 10–90°, low angle first)
2θ (°)	I_rel
14.5	100.0
29.3	15.3
29.7	84.9
36.4	50.0
41.1	12.3
43.8	32.6
47.4	24.0
51.2	25.0
67.9	16.6
71.8	14.2